Structure and computed powder X-ray diffraction pattern of Na7Cd2Hg (a DFT-relaxed cell (GGA-PBE, Alexandria); CuKα).

Structural model:
Unit cell a=5.389 b=5.389 c=12.774 alpha=90.00 beta=90.00 gamma=120.00
Fractional positions:
Na1 0.000 0.000 0.000
Na2 0.000 0.000 0.256
Na3 0.000 0.000 0.742
Na4 0.333 0.667 0.405
Na5 0.333 0.667 0.876
Na6 0.667 0.333 0.127
Na7 0.667 0.333 0.590
Cd1 0.000 0.000 0.499
Cd2 0.667 0.333 0.863
Hg1 0.333 0.667 0.136

Most intense lines, 15° ≤ 2θ ≤ 90°, in order of rising 2θ:
2θ/deg  I (rel.)
20.26  100.0
20.86  28.1
23.61  41.3
33.25  66.6
34.02  61.4
39.58  32.8
48.31  20.3
59.91  21.8